Computed powder X-ray diffraction pattern of SrSc for λ = 1.5418 Å (Cu Kα), from the GGA-PBE geometry in Alexandria.

Crystal structure
```
SrSc
1.0
3.742 0.000 0.000
0.000 15.475 0.000
0.000 0.000 8.107
Sr Sc
6 6
direct
0.000 0.000 0.000 Sr
0.000 0.299 0.222 Sr
0.000 0.701 0.222 Sr
0.500 0.201 0.722 Sr
0.500 0.500 0.500 Sr
0.500 0.799 0.722 Sr
0.000 0.000 0.563 Sc
0.000 0.402 0.822 Sc
0.000 0.598 0.822 Sc
0.500 0.098 0.322 Sc
0.500 0.500 0.063 Sc
0.500 0.902 0.322 Sc
```

Top 10 peaks for 2θ = 10–80°, by angle:
4.352 Å, I = 44; 3.591 Å, I = 100; 3.397 Å, I = 29; 3.111 Å, I = 87; 3.029 Å, I = 99; 2.891 Å, I = 76; 2.707 Å, I = 84; 2.662 Å, I = 23; 2.055 Å, I = 53; 1.904 Å, I = 42

Computed powder X-ray diffraction pattern of ThCoGe2Os for λ = 1.5418 Å (Cu Kα), from the GGA-PBE geometry in Alexandria.

Crystal structure
```
ThCoGe2Os
1.0
4.170 0.000 0.000
0.000 4.170 0.000
0.000 0.000 10.231
Th Co Ge Os
2 2 4 2
direct
0.000 0.000 0.000 Th
0.500 0.500 0.500 Th
0.000 0.500 0.750 Co
0.500 0.000 0.250 Co
0.000 0.000 0.372 Ge
0.000 0.000 0.628 Ge
0.500 0.500 0.128 Ge
0.500 0.500 0.872 Ge
0.000 0.500 0.250 Os
0.500 0.000 0.750 Os
```

Top 10 peaks for 2θ = 10–80°, by angle:
3.861 Å, I = 34; 2.640 Å, I = 58; 2.555 Å, I = 100; 2.085 Å, I = 45; 1.836 Å, I = 28; 1.636 Å, I = 28; 1.616 Å, I = 11; 1.475 Å, I = 33; 1.378 Å, I = 16; 1.277 Å, I = 26

Computed powder X-ray diffraction pattern of NaSr2SbS4 for λ = 1.5418 Å (Cu Kα), from the GGA-PBE geometry in Alexandria.

Crystal structure
```
NaSr2SbS4
1.0
-4.137 4.202 5.811
4.137 -4.202 5.811
4.137 4.202 -5.811
Na Sr Sb S
2 4 2 8
direct
0.000 0.000 0.000 Na
0.500 0.000 0.500 Na
0.000 0.500 0.500 Sr
0.500 0.000 0.000 Sr
0.500 0.500 0.000 Sr
0.500 0.500 0.500 Sr
0.000 0.000 0.500 Sb
0.000 0.500 0.000 Sb
0.231 0.247 0.984 S
0.238 0.753 0.484 S
0.240 0.239 0.499 S
0.240 0.741 0.001 S
0.760 0.259 0.999 S
0.760 0.761 0.501 S
0.762 0.247 0.516 S
0.769 0.753 0.016 S
```

Top 10 peaks for 2θ = 10–80°, by angle:
3.405 Å, I = 24; 3.370 Å, I = 23; 2.948 Å, I = 100; 2.906 Å, I = 48; 2.101 Å, I = 18; 2.069 Å, I = 86; 1.703 Å, I = 18; 1.685 Å, I = 18; 1.315 Å, I = 15; 1.303 Å, I = 14

Computed powder X-ray diffraction pattern of Th2Ga8Rh for λ = 1.5418 Å (Cu Kα), from the GGA-PBE geometry in Alexandria.

Crystal structure
```
Th2Ga8Rh
1.0
4.414 0.000 0.000
0.000 4.414 0.000
0.000 0.000 11.467
Th Ga Rh
2 8 1
direct
0.000 0.000 0.195 Th
0.000 0.000 0.805 Th
0.000 0.500 0.000 Ga
0.000 0.500 0.383 Ga
0.000 0.500 0.617 Ga
0.500 0.000 0.000 Ga
0.500 0.000 0.383 Ga
0.500 0.000 0.617 Ga
0.500 0.500 0.198 Ga
0.500 0.500 0.802 Ga
0.000 0.000 0.500 Rh
```

Top 10 peaks for 2θ = 10–80°, by angle:
4.414 Å, I = 43; 2.889 Å, I = 25; 2.741 Å, I = 45; 2.418 Å, I = 100; 2.293 Å, I = 19; 2.207 Å, I = 57; 1.754 Å, I = 15; 1.590 Å, I = 24; 1.561 Å, I = 19; 1.311 Å, I = 28

Computed powder X-ray diffraction pattern of Sr4CaSe5 for λ = 1.5418 Å (Cu Kα), from the GGA-PBE geometry in Alexandria.

Crystal structure
```
Sr4CaSe5
1.0
-2.208 2.208 15.585
2.208 -2.208 15.585
2.208 2.208 -15.585
Sr Ca Se
4 1 5
direct
0.098 0.098 0.000 Sr
0.301 0.301 0.000 Sr
0.699 0.699 0.000 Sr
0.902 0.902 0.000 Sr
0.500 0.500 0.000 Ca
0.000 0.000 0.000 Se
0.200 0.200 0.000 Se
0.403 0.403 0.000 Se
0.597 0.597 0.000 Se
0.800 0.800 0.000 Se
```

Top 10 peaks for 2θ = 10–80°, by angle:
4.373 Å, I = 1; 3.121 Å, I = 100; 2.437 Å, I = 1; 2.207 Å, I = 75; 1.802 Å, I = 26; 1.561 Å, I = 8; 1.558 Å, I = 4; 1.396 Å, I = 23; 1.394 Å, I = 11; 1.274 Å, I = 25